Diffraction record for Ta2Ge2O7. The powder XRD pattern is computed, not measured: it uses a cell relaxed with PBE and Cu Kα (λ = 1.5418 Å).
Neutral-atom scattering factors, no anomalous dispersion.

Top 10 peaks for 2θ = 10–90°, by intensity:
d [Å], 2θ (°), Rel. int.
2.776, 32.24, 100
3.054, 29.24, 69
4.361, 20.37, 69
2.885, 31.00, 52
3.518, 25.31, 50
3.896, 22.82, 44
1.829, 49.84, 42
1.969, 46.09, 31
3.330, 26.77, 29
3.229, 27.62, 28

Lattice parameters (Å, degrees): 13.4635 13.4635 5.7696 90.00 90.00 163.18
Element x y z (fractional)
Ta: 0.0545 0.9455 0.5000
Ta: 0.1611 0.8389 0.0310
Ta: 0.8389 0.1611 0.5310
Ta: 0.9455 0.0545 0.0000
Ge: 0.2843 0.7157 0.0885
Ge: 0.4337 0.5663 0.4350
Ge: 0.5663 0.4337 0.9350
Ge: 0.7157 0.2843 0.5885
O: 0.0057 0.9943 0.2687
O: 0.0941 0.9059 0.8287
O: 0.1119 0.8881 0.3109
O: 0.2031 0.7969 0.7617
O: 0.2196 0.7804 0.2273
O: 0.3514 0.6486 0.5066
O: 0.4438 0.5562 0.0798
O: 0.5562 0.4438 0.5798
O: 0.6486 0.3514 0.0066
O: 0.7804 0.2196 0.7273
O: 0.7969 0.2031 0.2617
O: 0.8881 0.1119 0.8109
O: 0.9059 0.0941 0.3287
O: 0.9943 0.0057 0.7687